# 1
Ba3MgNb2CoO9: theoretical powder diffractogram (Cu Kα), based on a GGA+U-relaxed structure.
Kinematic intensities with the Lorentz-polarization factor, no thermal factor.

Top 6 peaks for 15 to 90 degrees two-theta, sorted by position:
Position (°2θ)	Rel. int.
28.54	28
28.62	28
28.73	28
30.08	100
42.02	17
42.16	17

Structural model:
```
data_Ba3MgNb2CoO9
_chemical_formula_sum 'Ba3 Mg1 Nb2 Co1 O9'
_space_group_name_H-M_alt 'P 1'
_space_group_IT_number 1
_space_group_name_Hall 'P 1'
_cell_length_a 5.9367
_cell_length_b 5.9436
_cell_length_c 7.8392
_cell_angle_alpha 89.52
_cell_angle_beta 89.81
_cell_angle_gamma 60.08
loop_
_atom_site_label
_atom_site_fract_x
_atom_site_fract_y
_atom_site_fract_z
_atom_site_occupancy
Ba1 0.0000 0.0000 0.0000 1
Ba2 0.3329 0.3356 0.6779 1
Ba3 0.6665 0.6703 0.2981 1
Mg1 0.3337 0.3304 0.0527 1
Nb1 0.6664 0.6680 0.7978 1
Nb2 0.9994 0.0051 0.4908 1
Co1 0.3331 0.3399 0.3410 1
O1 0.1513 0.7012 0.3271 1
O2 0.1532 0.1573 0.3239 1
O3 0.3335 0.8376 0.6430 1
O4 0.5067 0.5057 0.9496 1
O5 0.5078 0.9840 0.9529 1
O6 0.6951 0.1564 0.3245 1
O7 0.8319 0.3394 0.6410 1
O8 0.8321 0.8377 0.6437 1
O9 0.9861 0.5062 0.9509 1
```



# 2
Ba3MgNb2CoO9: theoretical powder diffractogram (Cu Kα), based on a GGA+U-relaxed structure.
Kinematic intensities with the Lorentz-polarization factor, no thermal factor.

Top 6 peaks for 15 to 90 degrees two-theta, sorted by position:
Position (°2θ)	Rel. int.
27.36	100
29.44	53
30.07	60
31.11	55
32.95	46
45.93	59

Structural model:
```
data_Ba3MgNb2CoO9
_chemical_formula_sum 'Ba3 Mg1 Nb2 Co1 O9'
_space_group_name_H-M_alt 'P 1'
_space_group_IT_number 1
_space_group_name_Hall 'P 1'
_cell_length_a 6.1514
_cell_length_b 6.1514
_cell_length_c 7.9411
_cell_angle_alpha 104.79
_cell_angle_beta 104.79
_cell_angle_gamma 55.73
loop_
_atom_site_label
_atom_site_fract_x
_atom_site_fract_y
_atom_site_fract_z
_atom_site_occupancy
Ba1 0.0000 0.0000 0.0000 1
Ba2 0.2753 0.2753 0.6928 1
Ba3 0.7247 0.7247 0.3072 1
Mg1 0.5000 0.5000 0.5000 1
Nb1 0.3697 0.3697 0.1552 1
Nb2 0.6303 0.6303 0.8448 1
Co1 0.0000 0.0000 0.5000 1
O1 0.0000 0.5000 0.0000 1
O2 0.2452 0.7349 0.3058 1
O3 0.2651 0.7548 0.6942 1
O4 0.2877 0.2877 0.3486 1
O5 0.5000 0.0000 0.0000 1
O6 0.5000 0.5000 0.0000 1
O7 0.7123 0.7123 0.6514 1
O8 0.7349 0.2452 0.3058 1
O9 0.7548 0.2651 0.6942 1
```